No. 1
Structure and simulated powder diffractogram of Ca3Mn3N5 (a DFT-relaxed cell (PBE, the Materials Project); Cu Kα).
Neutral-atom scattering factors, no anomalous dispersion.

Atomic structure:
a b c (Å): 5.5313 6.7804 8.3209
angles (deg): 107.97 104.02 94.98
Space group P-1 (No. 2)
Symmetry-distinct sites (fractional):
Ca 0.1535 0.1697 0.2010 (multiplicity 2)
Ca 0.1607 0.3699 0.8800 (multiplicity 2)
Ca 0.3227 0.9191 0.6172 (multiplicity 2)
Mn 0.1899 0.4485 0.5665 (multiplicity 2)
Mn 0.3965 0.6154 0.3010 (multiplicity 2)
Mn 0.4073 0.8220 0.9724 (multiplicity 2)
N 0.1240 0.5649 0.3848 (multiplicity 2)
N 0.2503 0.0387 0.9113 (multiplicity 2)
N 0.3085 0.7215 0.1251 (multiplicity 2)
N 0.3333 0.2103 0.5078 (multiplicity 2)
N 0.4373 0.6178 0.7754 (multiplicity 2)

Peak list (6 most intense, 5° ≤ 2θ ≤ 70°, sorted by position)
| 2theta | I/Imax | (hkl) |
| --- | --- | --- |
| 13.95 | 27.9 | 0 1 0 |
| 30.93 | 32.2 | 1 -1 2 |
| 33.58 | 57.9 | 1 2 -2 |
| 34.13 | 72.4 | 0 2 1 |
| 34.41 | 32.5 | 2 -1 0 |
| 34.72 | 100.0 | 1 0 -3 |

---

No. 2
Structure and simulated powder diffractogram of Ca3MnN3 (a DFT-relaxed cell (PBE, the Materials Project); Cu Kα).
Neutral-atom scattering factors, no anomalous dispersion.

Atomic structure:
a b c (Å): 8.3948 10.2693 5.0368
angles (deg): 90.00 90.00 90.00
Space group Cmcm (No. 63)
Symmetry-distinct sites (fractional):
Ca 0.0000 0.1075 0.2500 (multiplicity 4)
Ca 0.2121 0.3836 0.2500 (multiplicity 8)
Mn 0.0000 0.3006 0.7500 (multiplicity 4)
N 0.0000 0.1257 0.7500 (multiplicity 4)
N 0.1923 0.3743 0.7500 (multiplicity 8)

Peak list (6 most intense, 5° ≤ 2θ ≤ 70°, sorted by position)
| 2theta | I/Imax | (hkl) |
| --- | --- | --- |
| 32.80 | 100.0 | 2 2 1 |
| 33.18 | 25.6 | 3 1 0 |
| 33.40 | 35.5 | 1 3 1 |
| 34.95 | 33.3 | 0 4 0 |
| 35.65 | 74.5 | 0 0 2 |
| 67.72 | 22.9 | 3 5 2 |

---

No. 3
Structure and simulated powder diffractogram of CaMn2N2 (a DFT-relaxed cell (PBE, the Materials Project); Cu Kα).
Neutral-atom scattering factors, no anomalous dispersion.

Atomic structure:
a b c (Å): 3.2666 3.2666 6.7752
angles (deg): 90.00 90.00 90.00
Space group P-4m2 (No. 115)
Symmetry-distinct sites (fractional):
Ca 0.0000 0.0000 0.0000 (multiplicity 1)
Mn 0.5000 0.5000 0.3521 (multiplicity 2)
N 0.0000 0.5000 0.7559 (multiplicity 2)

Peak list (6 most intense, 5° ≤ 2θ ≤ 70°, sorted by position)
| 2theta | I/Imax | (hkl) |
| --- | --- | --- |
| 27.30 | 25.3 | 1 0 0 |
| 30.38 | 100.0 | 1 0 1 |
| 38.28 | 22.1 | 1 0 2 |
| 38.99 | 31.4 | 1 1 0 |
| 39.92 | 18.6 | 0 0 3 |
| 57.03 | 25.6 | 1 1 3 |